The following is a theoretical powder diffractogram of FeP4O12. It was derived from the PBE+U geometry in the Materials Project, using Cu Kα, 1.54184 Å.
Neutral-atom scattering factors, no anomalous dispersion.

Peak list (6 most intense, 10° ≤ 2θ ≤ 90°, in order of falling intensity)
2θ (°)	d/Å	I (rel.)	(hkl)
23.36	3.807	100	1 1 2
27.10	3.290	98	1 3 -1
26.64	3.346	89	2 2 0
18.67	4.752	75	0 0 2
16.49	5.377	75	1 1 1
15.91	5.572	65	1 1 -1

Structural model:
a b c (Å): 8.2276 11.5313 9.5141
angles (deg): 90.00 92.66 90.00
Space group C2/c (No. 15)
Asymmetric unit:
Fe (0.0000, 0.1045, 0.2500) [4 per cell]
P (0.0472, 0.3242, 0.0336) [8 per cell]
P (0.2424, 0.0380, 0.5285) [8 per cell]
O (0.0026, 0.2729, 0.8917) [8 per cell]
O (0.1000, 0.3984, 0.4022) [8 per cell]
O (0.1046, 0.2370, 0.1436) [8 per cell]
O (0.1312, 0.0111, 0.6445) [8 per cell]
O (0.1771, 0.1057, 0.4031) [8 per cell]
O (0.1867, 0.4190, 0.0308) [8 per cell]